(1)
For Sr8MgZn4W4O24, a structure optimized by DFT (GGA+U) gives the computed XRD peak list in this record (copper Kα).
Intensities are scaled so that the largest is 100.

Principal peaks in the range 2θ from 10° to 90°, low angle first:
18.31 deg, 4.845 Å, rel. 34
19.07 deg, 4.654 Å, rel. 36
29.41 deg, 3.037 Å, rel. 86
30.35 deg, 2.945 Å, rel. 88
30.82 deg, 2.901 Å, rel. 100
31.17 deg, 2.869 Å, rel. 94
31.77 deg, 2.817 Å, rel. 87
31.93 deg, 2.803 Å, rel. 97
41.45 deg, 2.179 Å, rel. 42
45.26 deg, 2.004 Å, rel. 44
46.06 deg, 1.971 Å, rel. 53
56.68 deg, 1.624 Å, rel. 37

Structure:
abc: 7.883 8.028 8.730
angles: 86.74 89.12 89.67
Positions (direct):
Sr  0.000  0.000  0.000
Sr  0.003  0.479  0.994
Sr  0.008  0.487  0.514
Sr  0.030  0.989  0.593
Sr  0.493  0.932  0.446
Sr  0.502  0.432  0.474
Sr  0.506  0.421  0.007
Sr  0.510  0.935  0.981
Mg  0.932  0.865  0.330
Zn  0.242  0.199  0.234
Zn  0.265  0.706  0.779
Zn  0.725  0.665  0.195
Zn  0.746  0.211  0.722
W  0.244  0.699  0.224
W  0.267  0.225  0.763
W  0.748  0.716  0.736
W  0.757  0.199  0.266
O  0.005  0.114  0.300
O  0.015  0.246  0.739
O  0.158  0.765  0.436
O  0.207  0.462  0.276
O  0.226  0.254  0.986
O  0.235  0.980  0.806
O  0.282  0.938  0.180
O  0.288  0.460  0.710
O  0.297  0.177  0.552
O  0.306  0.658  0.001
O  0.491  0.673  0.286
O  0.500  0.236  0.250
O  0.507  0.204  0.810
O  0.510  0.762  0.704
O  0.709  0.659  0.958
O  0.720  0.950  0.222
O  0.724  0.166  0.493
O  0.729  0.483  0.692
O  0.784  0.952  0.792
O  0.790  0.447  0.302
O  0.796  0.246  0.049
O  0.797  0.780  0.521
O  0.991  0.727  0.159
O  0.998  0.686  0.760


(2)
For SrYCoO4, a structure optimized by DFT (GGA+U) gives the computed XRD peak list in this record (copper Kα).
Intensities are scaled so that the largest is 100.

Principal peaks in the range 2θ from 10° to 90°, low angle first:
32.17 deg, 2.783 Å, rel. 34
32.24 deg, 2.776 Å, rel. 100
33.33 deg, 2.688 Å, rel. 51
33.43 deg, 2.680 Å, rel. 50
44.05 deg, 2.056 Å, rel. 26
44.45 deg, 2.038 Å, rel. 19
44.90 deg, 2.019 Å, rel. 15
44.98 deg, 2.015 Å, rel. 15
47.86 deg, 1.901 Å, rel. 28
47.99 deg, 1.896 Å, rel. 27
58.91 deg, 1.568 Å, rel. 18
59.03 deg, 1.565 Å, rel. 18

Structure:
abc: 3.801 6.674 7.583
angles: 106.49 90.18 106.38
Positions (direct):
Sr  0.000  0.000  0.000
Sr  0.001  0.997  0.497
Y  0.287  0.562  0.642
Y  0.287  0.565  0.135
Co  0.645  0.276  0.817
Co  0.650  0.291  0.321
O  0.158  0.307  0.826
O  0.161  0.315  0.327
O  0.466  0.922  0.727
O  0.473  0.937  0.235
O  0.652  0.307  0.084
O  0.658  0.314  0.569
O  0.808  0.609  0.396
O  0.810  0.615  0.909